# 1
This entry pairs a crystal structure of NdBr3O18 with its theoretical powder X-ray diffraction pattern. Radiation: λ = 1.5418 Å (Cu Kα). Structure: a cell relaxed with GGA-PBE.

Crystal structure
Cell lengths 10.7447, 10.7447, 7.6644 Å; angles 90.00, 90.00, 120.08 degrees
Fractional positions:
Nd1 0.1683 0.8317 0.5000
Nd2 0.8317 0.1683 0.0000
Br1 0.2022 0.3497 0.9806
Br2 0.3497 0.2022 0.4806
Br3 0.3525 0.6475 0.4991
Br4 0.6475 0.3525 0.9991
Br5 0.6503 0.7978 0.9806
Br6 0.7978 0.6503 0.4806
O1 0.0243 0.7634 0.8504
O2 0.0794 0.9206 0.2773
O3 0.0825 0.1689 0.0020
O4 0.0822 0.4108 0.9951
O5 0.0866 0.6541 0.2762
O6 0.0913 0.6942 0.9440
O7 0.0917 0.9083 0.9214
O8 0.1689 0.0825 0.5020
O9 0.1710 0.5867 0.5110
O10 0.2361 0.7639 0.8734
O11 0.2366 0.9757 0.8504
O12 0.2705 0.3817 0.7817
O13 0.3058 0.9087 0.9440
O14 0.3459 0.9134 0.2762
O15 0.3817 0.2705 0.2817
O16 0.3895 0.6105 0.3038
O17 0.4108 0.0822 0.4951
O18 0.4133 0.8290 0.5110
O19 0.5867 0.1710 0.0110
O20 0.5892 0.9178 0.9951
O21 0.6105 0.3895 0.8038
O22 0.6183 0.7295 0.7817
O23 0.6541 0.0866 0.7762
O24 0.6942 0.0913 0.4440
O25 0.7295 0.6183 0.2817
O26 0.7634 0.0243 0.3504
O27 0.7639 0.2361 0.3734
O28 0.8290 0.4133 0.0110
O29 0.8311 0.9175 0.0020
O30 0.9083 0.0917 0.4214
O31 0.9087 0.3058 0.4440
O32 0.9134 0.3459 0.7762
O33 0.9178 0.5892 0.4951
O34 0.9175 0.8311 0.5020
O35 0.9206 0.0794 0.7773
O36 0.9757 0.2366 0.3504

Top 6 peaks for 2θ = 15–90°, sorted by position:
2θ/deg, I_rel
19.08, 59
22.36, 51
23.21, 69
27.92, 100
36.76, 43
41.04, 46


# 2
This entry pairs a crystal structure of NdBr3O18 with its theoretical powder X-ray diffraction pattern. Radiation: λ = 1.5418 Å (Cu Kα). Structure: a cell relaxed with GGA-PBE.

Crystal structure
Cell lengths 10.9248, 10.9248, 7.2752 Å; angles 90.00, 90.00, 116.52 degrees
Fractional positions:
Nd1 0.1912 0.8088 0.5000
Nd2 0.8088 0.1912 0.0000
Br1 0.2206 0.3619 0.2857
Br2 0.3535 0.6465 0.8097
Br3 0.3619 0.2206 0.7857
Br4 0.6381 0.7794 0.2857
Br5 0.6465 0.3535 0.3097
Br6 0.7794 0.6381 0.7857
O1 0.0088 0.7608 0.1221
O2 0.0483 0.5920 0.5913
O3 0.0500 0.6734 0.1500
O4 0.0696 0.9304 0.6075
O5 0.0958 0.9042 0.2464
O6 0.1104 0.1935 0.2986
O7 0.1163 0.4433 0.2838
O8 0.1816 0.5872 0.8251
O9 0.1935 0.1104 0.7986
O10 0.2392 0.9912 0.1221
O11 0.3042 0.3917 0.0872
O12 0.3130 0.6870 0.3487
O13 0.3266 0.9500 0.1500
O14 0.3862 0.6138 0.5906
O15 0.3917 0.3042 0.5872
O16 0.4080 0.9517 0.5913
O17 0.4128 0.8184 0.8251
O18 0.4433 0.1163 0.7838
O19 0.5567 0.8837 0.2838
O20 0.5872 0.1816 0.3251
O21 0.5920 0.0483 0.0913
O22 0.6083 0.6958 0.0872
O23 0.6138 0.3862 0.0906
O24 0.6734 0.0500 0.6500
O25 0.6870 0.3130 0.8487
O26 0.6958 0.6083 0.5872
O27 0.7608 0.0088 0.6221
O28 0.8065 0.8896 0.2986
O29 0.8184 0.4128 0.3251
O30 0.8837 0.5567 0.7838
O31 0.8896 0.8065 0.7986
O32 0.9042 0.0958 0.7464
O33 0.9304 0.0696 0.1075
O34 0.9500 0.3266 0.6500
O35 0.9517 0.4080 0.0913
O36 0.9912 0.2392 0.6221

Top 6 peaks for 2θ = 15–90°, sorted by position:
2θ/deg, I_rel
15.18, 40
18.15, 39
21.91, 100
22.71, 54
26.73, 25
29.52, 38


# 3
This entry pairs a crystal structure of NdTe2BrO5 with its theoretical powder X-ray diffraction pattern. Radiation: λ = 1.5418 Å (Cu Kα). Structure: a cell relaxed with GGA-PBE.

Crystal structure
Cell lengths 10.2569, 10.2569, 10.2569 Å; angles 149.19, 149.19, 44.14 degrees
Fractional positions:
Nd1 0.2500 0.7500 0.5000
Nd2 0.7500 0.2500 0.5000
Te1 0.1064 0.1064 0.0000
Te2 0.3715 0.3715 0.0000
Te3 0.6285 0.6285 0.0000
Te4 0.8936 0.8936 0.0000
Br1 0.0000 0.5000 0.5000
Br2 0.5000 0.0000 0.5000
O1 0.0755 0.0755 0.4669
O2 0.0755 0.6086 0.0000
O3 0.2693 0.2693 0.0000
O4 0.3914 0.3914 0.4669
O5 0.3914 0.9245 0.0000
O6 0.6086 0.0755 0.0000
O7 0.6086 0.6086 0.5331
O8 0.7307 0.7307 0.0000
O9 0.9245 0.3914 0.0000
O10 0.9245 0.9245 0.5331

Top 6 peaks for 2θ = 15–90°, sorted by position:
2θ/deg, I_rel
29.85, 100
32.87, 35
37.86, 12
47.17, 21
50.99, 21
56.83, 32


# 4
This entry pairs a crystal structure of NdTeBrO3 with its theoretical powder X-ray diffraction pattern. Radiation: λ = 1.5418 Å (Cu Kα). Structure: a cell relaxed with GGA-PBE.

Crystal structure
Cell lengths 3.9260, 3.9260, 27.9368 Å; angles 90.00, 90.00, 90.00 degrees
Fractional positions:
Nd1 0.2500 0.2500 0.0443
Nd2 0.2500 0.2500 0.7111
Nd3 0.7500 0.7500 0.2889
Nd4 0.7500 0.7500 0.9557
Te1 0.2500 0.2500 0.2072
Te2 0.2500 0.2500 0.3806
Te3 0.7500 0.7500 0.6194
Te4 0.7500 0.7500 0.7928
Br1 0.2500 0.2500 0.5559
Br2 0.2500 0.2500 0.8961
Br3 0.7500 0.7500 0.1039
Br4 0.7500 0.7500 0.4441
O1 0.2500 0.2500 0.2786
O2 0.2500 0.7500 0.0000
O3 0.2500 0.7500 0.2248
O4 0.2500 0.7500 0.3471
O5 0.2500 0.7500 0.6529
O6 0.2500 0.7500 0.7752
O7 0.7500 0.2500 0.0000
O8 0.7500 0.2500 0.2248
O9 0.7500 0.2500 0.3471
O10 0.7500 0.2500 0.6529
O11 0.7500 0.2500 0.7752
O12 0.7500 0.7500 0.7214

Top 6 peaks for 2θ = 15–90°, sorted by position:
2θ/deg, I_rel
29.77, 100
32.25, 39
46.25, 22
51.21, 18
55.97, 34
61.82, 9


# 5
This entry pairs a crystal structure of Rb2NdBr5 with its theoretical powder X-ray diffraction pattern. Radiation: λ = 1.5418 Å (Cu Kα). Structure: a cell relaxed with GGA-PBE.

Crystal structure
Cell lengths 14.1398, 9.3760, 8.7973 Å; angles 90.00, 90.00, 90.00 degrees
Fractional positions:
Rb1 0.1723 0.0050 0.0529
Rb2 0.1723 0.4950 0.0529
Rb3 0.3277 0.5050 0.5529
Rb4 0.3277 0.9950 0.5529
Rb5 0.6723 0.0050 0.4471
Rb6 0.6723 0.4950 0.4471
Rb7 0.8277 0.5050 0.9471
Rb8 0.8277 0.9950 0.9471
Nd1 0.0044 0.2500 0.5744
Nd2 0.4956 0.7500 0.0744
Nd3 0.5044 0.2500 0.9256
Nd4 0.9956 0.7500 0.4256
Br1 0.0097 0.2500 0.9135
Br2 0.0736 0.5422 0.6604
Br3 0.0736 0.9578 0.6604
Br4 0.1738 0.2500 0.3793
Br5 0.1982 0.7500 0.3410
Br6 0.3018 0.2500 0.8410
Br7 0.3262 0.7500 0.8793
Br8 0.4264 0.0422 0.1604
Br9 0.4264 0.4578 0.1604
Br10 0.4903 0.7500 0.4135
Br11 0.5097 0.2500 0.5865
Br12 0.5736 0.5422 0.8396
Br13 0.5736 0.9578 0.8396
Br14 0.6738 0.2500 0.1207
Br15 0.6982 0.7500 0.1590
Br16 0.8018 0.2500 0.6590
Br17 0.8262 0.7500 0.6207
Br18 0.9264 0.0422 0.3396
Br19 0.9264 0.4578 0.3396
Br20 0.9903 0.7500 0.0865

Top 6 peaks for 2θ = 15–90°, sorted by position:
2θ/deg, I_rel
27.19, 68
28.53, 100
28.71, 51
30.60, 64
38.41, 61
38.56, 46


# 6
This entry pairs a crystal structure of Nd3S2Br5 with its theoretical powder X-ray diffraction pattern. Radiation: λ = 1.5418 Å (Cu Kα). Structure: a cell relaxed with GGA-PBE.

Crystal structure
Cell lengths 7.2565, 22.7873, 6.9273 Å; angles 90.00, 90.00, 90.00 degrees
Fractional positions:
Nd1 0.0472 0.2500 0.0568
Nd2 0.1198 0.1037 0.4450
Nd3 0.1198 0.3963 0.4450
Nd4 0.3802 0.6037 0.9450
Nd5 0.3802 0.8963 0.9450
Nd6 0.4528 0.7500 0.5568
Nd7 0.5472 0.2500 0.4432
Nd8 0.6198 0.1037 0.0550
Nd9 0.6198 0.3963 0.0550
Nd10 0.8802 0.6037 0.5550
Nd11 0.8802 0.8963 0.5550
Nd12 0.9528 0.7500 0.9432
S1 0.1662 0.6745 0.6982
S2 0.1662 0.8255 0.6982
S3 0.3338 0.1745 0.1982
S4 0.3338 0.3255 0.1982
S5 0.6662 0.6745 0.8018
S6 0.6662 0.8255 0.8018
S7 0.8338 0.1745 0.3018
S8 0.8338 0.3255 0.3018
Br1 0.0211 0.6199 0.1514
Br2 0.0211 0.8801 0.1514
Br3 0.1704 0.2500 0.6354
Br4 0.1781 0.5211 0.6666
Br5 0.1781 0.9789 0.6666
Br6 0.3219 0.0211 0.1666
Br7 0.3219 0.4789 0.1666
Br8 0.3296 0.7500 0.1354
Br9 0.4789 0.1199 0.6514
Br10 0.4789 0.3801 0.6514
Br11 0.5211 0.6199 0.3486
Br12 0.5211 0.8801 0.3486
Br13 0.6704 0.2500 0.8646
Br14 0.6781 0.5211 0.8334
Br15 0.6781 0.9789 0.8334
Br16 0.8219 0.0211 0.3334
Br17 0.8219 0.4789 0.3334
Br18 0.8296 0.7500 0.3646
Br19 0.9789 0.1199 0.8486
Br20 0.9789 0.3801 0.8486

Top 6 peaks for 2θ = 15–90°, sorted by position:
2θ/deg, I_rel
19.35, 65
30.94, 100
31.41, 47
32.68, 46
37.10, 61
39.46, 43